Structure and calculated powder X-ray diffraction pattern of Tb3Mg2Hg3 (a GGA-PBE-relaxed structure; Cu Kα (λ = 1.5418 Å)).

Atomic structure:
```
data_Tb3Mg2Hg3
_chemical_formula_sum 'Tb6 Mg4 Hg6'
_space_group_name_H-M_alt 'P 1'
_space_group_IT_number 1
_space_group_name_Hall 'P 1'
_cell_length_a 8.892
_cell_length_b 8.892
_cell_length_c 5.885
_cell_angle_alpha 90.00
_cell_angle_beta 90.00
_cell_angle_gamma 120.00
loop_
_atom_site_label
_atom_site_fract_x
_atom_site_fract_y
_atom_site_fract_z
Tb1 0.000 0.252 0.250
Tb2 0.000 0.748 0.750
Tb3 0.252 0.000 0.250
Tb4 0.252 0.252 0.750
Tb5 0.748 0.000 0.750
Tb6 0.748 0.748 0.250
Mg1 0.333 0.667 0.000
Mg2 0.333 0.667 0.500
Mg3 0.667 0.333 0.000
Mg4 0.667 0.333 0.500
Hg1 0.000 0.396 0.750
Hg2 0.000 0.604 0.250
Hg3 0.396 0.000 0.750
Hg4 0.396 0.396 0.250
Hg5 0.604 0.000 0.250
Hg6 0.604 0.604 0.750
```

The 10 most intense peaks (15° ≤ 2θ ≤ 90°), by angle:
| hkl | 2theta | I_rel |
| --- | --- | --- |
| 1 1 0 | 19.97 | 42 |
| 0 0 2 | 30.37 | 37 |
| 2 1 1 | 34.37 | 100 |
| 3 0 0 | 34.96 | 25 |
| 1 1 2 | 36.62 | 30 |
| 3 1 1 | 45.16 | 26 |
| 3 0 2 | 46.97 | 15 |
| 2 1 3 | 56.57 | 24 |
| 4 2 1 | 66.14 | 10 |
| 5 0 2 | 68.80 | 12 |